For TaNbPd3, a PBE-relaxed structure gives the theoretical X-ray powder pattern in this record (copper Kα).

Peak list (6 most intense, 2θ from 10° to 80°, in order of falling intensity)
2θ/deg	intensity
39.5	100
44.5	86
40.3	80
43.5	73
35.5	72
34.1	72

Atomic structure:
```
data_TaNbPd3
_chemical_formula_sum 'Ta4 Nb4 Pd12'
_space_group_name_H-M_alt 'C 1 2/m 1'
_space_group_IT_number 12
_cell_length_a 5.3250
_cell_length_b 9.1425
_cell_length_c 7.1149
_cell_angle_alpha 90.00
_cell_angle_beta 102.60
_cell_angle_gamma 90.00
loop_
_space_group_symop_operation_xyz
'x,y,z'
'-x,-y,-z'
'-x,y,-z'
'x,-y,z'
'x+1/2,y+1/2,z'
'-x+1/2,-y+1/2,-z'
'-x+1/2,y+1/2,-z'
'x+1/2,-y+1/2,z'
loop_
_atom_site_label
_atom_site_type_symbol
_atom_site_fract_x
_atom_site_fract_y
_atom_site_fract_z
Ta1 Ta 0.0626 0.0000 0.1929
Nb1 Nb 0.0000 0.3436 0.0000
Pd1 Pd 0.1319 0.5000 0.3550
Pd2 Pd 0.1586 0.2589 0.6742
```

For Ca2CeDyAs4, a PBE-relaxed structure gives the theoretical X-ray powder pattern in this record (copper Kα).

Peak list (6 most intense, 2θ from 10° to 80°, in order of falling intensity)
2θ/deg	intensity
30.0	100
42.9	37
12.9	28
43.0	24
24.8	14
53.2	13

Atomic structure:
```
data_Ca2CeDyAs4
_chemical_formula_sum 'Ca2 Ce1 Dy1 As4'
_space_group_name_H-M_alt 'P 1 2/m 1'
_space_group_IT_number 10
_cell_length_a 7.2703
_cell_length_b 4.2233
_cell_length_c 7.2957
_cell_angle_alpha 90.00
_cell_angle_beta 109.69
_cell_angle_gamma 90.00
loop_
_space_group_symop_operation_xyz
'x,y,z'
'-x,-y,-z'
'-x,y,-z'
'x,-y,z'
loop_
_atom_site_label
_atom_site_type_symbol
_atom_site_fract_x
_atom_site_fract_y
_atom_site_fract_z
Ca1 Ca 0.0000 0.0000 0.0000
Ca2 Ca 0.0000 0.5000 0.5000
Ce1 Ce 0.5000 0.0000 0.5000
Dy1 Dy 0.5000 0.5000 0.0000
As1 As 0.2638 0.0000 0.7549
As2 As 0.2646 0.5000 0.2548
```

For Er3Ni2, a PBE-relaxed structure gives the theoretical X-ray powder pattern in this record (copper Kα).

Peak list (6 most intense, 2θ from 10° to 80°, in order of falling intensity)
2θ/deg	intensity
33.0	100
28.1	66
35.5	52
42.0	32
37.7	31
56.2	28

Atomic structure:
```
data_Er3Ni2
_chemical_formula_sum 'Er6 Ni4'
_space_group_name_H-M_alt 'C m m m'
_space_group_IT_number 65
_space_group_name_Hall '-C 2 2'
_cell_length_a 4.3020
_cell_length_b 14.1322
_cell_length_c 3.6125
_cell_angle_alpha 90.00
_cell_angle_beta 90.00
_cell_angle_gamma 90.00
loop_
_atom_site_label
_atom_site_type_symbol
_atom_site_fract_x
_atom_site_fract_y
_atom_site_fract_z
Er1 Er 0.0000 0.0000 0.0000
Er2 Er 0.0000 0.3474 0.5000
Ni1 Ni 0.0000 0.1965 0.0000
```